This entry pairs a crystal structure of RbPBr6 with its computed powder diffraction line list. Radiation: a wavelength of 1.5418 Å. Structure: a DFT-relaxed cell (PBE, Alexandria).
Neutral-atom scattering factors, no anomalous dispersion.

Structural model:
Cell lengths 7.2975, 7.2975, 19.1057 Å; angles 90.00, 90.00, 120.00 degrees
Space group R-3m (No. 166, hexagonal axes)
Asymmetric unit:
Rb (0.0000, 0.0000, 0.0000) (multiplicity 3)
P (0.0000, 0.0000, 0.5000) (multiplicity 3)
Br (0.0261, 0.5130, 0.0945) (multiplicity 18)

Principal peaks in the range 2θ = 15–90°, by angle:
| (hkl) | 2theta | intensity |
| --- | --- | --- |
| 1 0 4 | 23.34 | 33 |
| 0 1 5 | 27.27 | 29 |
| 0 2 1 | 28.63 | 100 |
| 2 0 2 | 29.78 | 39 |
| 2 0 5 | 36.91 | 42 |
| 1 1 6 | 37.49 | 31 |
| 2 1 4 | 42.30 | 30 |
| 2 2 0 | 49.99 | 33 |



This entry pairs a crystal structure of La2Y3Tm3 with its computed powder diffraction line list. Radiation: a wavelength of 1.5418 Å. Structure: a DFT-relaxed cell (PBE, Alexandria).
Neutral-atom scattering factors, no anomalous dispersion.

Structural model:
Cell lengths 16.253, 5.825, 5.976 Å; angles 90.00, 111.40, 90.00 degrees
Space group C2/m (No. 12)
Asymmetric unit:
La (0.249, 0.000, 0.300) (multiplicity 4)
Y (0.000, 0.500, 0.500) (multiplicity 2)
Y (0.125, 0.500, 0.088) (multiplicity 4)
Tm (0.000, 0.000, 0.000) (multiplicity 2)
Tm (0.124, 0.000, 0.660) (multiplicity 4)

Principal peaks in the range 2θ = 15–90°, by angle:
| (hkl) | 2theta | intensity |
| --- | --- | --- |
| 2 0 -2 | 29.90 | 25 |
| 0 2 0 | 30.70 | 29 |
| 3 1 1 | 31.94 | 100 |
| 3 1 -2 | 34.26 | 11 |
| 2 2 -2 | 43.39 | 18 |
| 3 3 1 | 55.33 | 13 |
| 5 3 -1 | 55.39 | 10 |
| 8 2 0 | 58.15 | 9 |



This entry pairs a crystal structure of NaErB12 with its computed powder diffraction line list. Radiation: a wavelength of 1.5418 Å. Structure: a DFT-relaxed cell (PBE, Alexandria).
Neutral-atom scattering factors, no anomalous dispersion.

Structural model:
Cell lengths 4.124, 4.124, 8.255 Å; angles 90.00, 90.00, 90.00 degrees
Space group P4/mmm (No. 123)
Asymmetric unit:
Na (0.000, 0.000, 0.000) (multiplicity 1)
Er (0.000, 0.000, 0.500) (multiplicity 1)
B (0.201, 0.500, 0.253) (multiplicity 8)
B (0.500, 0.500, 0.102) (multiplicity 2)
B (0.500, 0.500, 0.401) (multiplicity 2)

Principal peaks in the range 2θ = 15–90°, by angle:
| (hkl) | 2theta | intensity |
| --- | --- | --- |
| 1 0 0 | 21.54 | 44 |
| 1 0 1 | 24.12 | 57 |
| 1 1 0 | 30.65 | 100 |
| 1 1 1 | 32.56 | 34 |
| 1 1 2 | 37.77 | 44 |
| 2 0 0 | 43.90 | 23 |
| 2 1 0 | 49.40 | 48 |
| 2 2 2 | 68.20 | 29 |



This entry pairs a crystal structure of ZnPH6CBr3 with its computed powder diffraction line list. Radiation: a wavelength of 1.5418 Å. Structure: a DFT-relaxed cell (PBE, Alexandria).
Neutral-atom scattering factors, no anomalous dispersion.

Structural model:
Cell lengths 7.319, 8.550, 15.657 Å; angles 93.85, 92.06, 95.76 degrees
Space group P1 (No. 1)
Asymmetric unit:
Zn (0.000, 0.000, 0.000) (multiplicity 1)
Zn (0.018, 0.303, 0.543) (multiplicity 1)
Zn (0.490, 0.886, 0.043) (multiplicity 1)
Zn (0.541, 0.479, 0.473) (multiplicity 1)
P (0.361, 0.959, 0.426) (multiplicity 1)
P (0.420, 0.445, 0.923) (multiplicity 1)
P (0.838, 0.858, 0.737) (multiplicity 1)
P (0.918, 0.410, 0.246) (multiplicity 1)
H (0.025, 0.597, 0.146) (multiplicity 1)
H (0.091, 0.355, 0.260) (multiplicity 1)
H (0.202, 0.828, 0.302) (multiplicity 1)
H (0.225, 0.063, 0.439) (multiplicity 1)
H (0.276, 0.543, 0.927) (multiplicity 1)
H (0.307, 0.277, 0.800) (multiplicity 1)
H (0.326, 0.834, 0.480) (multiplicity 1)
H (0.375, 0.977, 0.274) (multiplicity 1)
H (0.390, 0.330, 0.983) (multiplicity 1)
H (0.441, 0.791, 0.307) (multiplicity 1)
H (0.460, 0.441, 0.772) (multiplicity 1)
H (0.537, 0.035, 0.449) (multiplicity 1)
H (0.544, 0.928, 0.693) (multiplicity 1)
H (0.551, 0.278, 0.819) (multiplicity 1)
H (0.586, 0.538, 0.947) (multiplicity 1)
H (0.658, 0.832, 0.606) (multiplicity 1)
H (0.728, 0.034, 0.640) (multiplicity 1)
H (0.763, 0.725, 0.776) (multiplicity 1)
H (0.777, 0.560, 0.143) (multiplicity 1)
H (0.780, 0.283, 0.246) (multiplicity 1)
H (0.889, 0.515, 0.317) (multiplicity 1)
H (0.894, 0.979, 0.802) (multiplicity 1)
H (0.915, 0.418, 0.094) (multiplicity 1)
H (0.995, 0.815, 0.696) (multiplicity 1)
C (0.344, 0.880, 0.316) (multiplicity 1)
C (0.436, 0.351, 0.818) (multiplicity 1)
C (0.675, 0.919, 0.661) (multiplicity 1)
C (0.908, 0.507, 0.148) (multiplicity 1)
Br (0.150, 0.125, 0.635) (multiplicity 1)
Br (0.248, 0.543, 0.546) (multiplicity 1)
Br (0.287, 0.091, 0.090) (multiplicity 1)
Br (0.418, 0.645, 0.111) (multiplicity 1)
Br (0.443, 0.321, 0.345) (multiplicity 1)
Br (0.491, 0.874, 0.889) (multiplicity 1)
Br (0.720, 0.386, 0.598) (multiplicity 1)
Br (0.725, 0.714, 0.439) (multiplicity 1)
Br (0.781, 0.008, 0.119) (multiplicity 1)
Br (0.925, 0.173, 0.406) (multiplicity 1)
Br (0.959, 0.211, 0.909) (multiplicity 1)
Br (0.985, 0.734, 0.939) (multiplicity 1)

Principal peaks in the range 2θ = 15–90°, by angle:
| (hkl) | 2theta | intensity |
| --- | --- | --- |
| 1 -1 0 | 15.20 | 24 |
| 0 1 3 | 20.62 | 46 |
| 1 -1 3 | 22.76 | 35 |
| 1 -2 2 | 25.39 | 100 |
| -2 1 1 | 26.19 | 40 |
| 2 0 -2 | 26.59 | 25 |
| 1 2 -2 | 27.00 | 42 |
| 2 1 2 | 30.66 | 29 |



This entry pairs a crystal structure of Ce6Zn2Ga with its computed powder diffraction line list. Radiation: a wavelength of 1.5418 Å. Structure: a DFT-relaxed cell (PBE, Alexandria).
Neutral-atom scattering factors, no anomalous dispersion.

Structural model:
Cell lengths 8.8204, 8.8204, 2.9178 Å; angles 90.00, 90.00, 120.00 degrees
Space group P6/mmm (No. 191)
Asymmetric unit:
Ce (0.0000, 0.3357, 0.0000) (multiplicity 6)
Zn (0.3333, 0.6667, 0.5000) (multiplicity 2)
Ga (0.0000, 0.0000, 0.5000) (multiplicity 1)

Principal peaks in the range 2θ = 15–90°, by angle:
| (hkl) | 2theta | intensity |
| --- | --- | --- |
| 0 0 1 | 30.64 | 17 |
| 3 0 0 | 35.25 | 100 |
| 1 1 1 | 36.94 | 64 |
| 3 0 1 | 47.39 | 30 |
| 2 2 1 | 51.98 | 24 |
| 3 3 0 | 63.26 | 18 |
| 4 1 1 | 64.37 | 24 |
| 3 0 2 | 75.04 | 22 |



This entry pairs a crystal structure of BeHPd3 with its computed powder diffraction line list. Radiation: a wavelength of 1.5418 Å. Structure: a DFT-relaxed cell (PBE, Alexandria).
Neutral-atom scattering factors, no anomalous dispersion.

Structural model:
Cell lengths 2.816, 2.816, 7.053 Å; angles 90.00, 90.00, 90.00 degrees
Space group P4/mmm (No. 123)
Asymmetric unit:
Be (0.000, 0.000, 0.000) (multiplicity 1)
H (0.500, 0.500, 0.500) (multiplicity 1)
Pd (0.000, 0.000, 0.500) (multiplicity 1)
Pd (0.500, 0.500, 0.196) (multiplicity 2)

Principal peaks in the range 2θ = 15–90°, by angle:
| (hkl) | 2theta | intensity |
| --- | --- | --- |
| 1 0 1 | 34.29 | 63 |
| 0 0 3 | 38.28 | 32 |
| 1 0 2 | 41.02 | 100 |
| 1 1 0 | 45.56 | 51 |
| 1 1 3 | 60.98 | 32 |
| 2 0 0 | 66.40 | 16 |
| 1 0 5 | 75.36 | 20 |
| 2 1 2 | 81.10 | 27 |



This entry pairs a crystal structure of Cs3Cd2H with its computed powder diffraction line list. Radiation: a wavelength of 1.5418 Å. Structure: a DFT-relaxed cell (PBE, Alexandria).
Neutral-atom scattering factors, no anomalous dispersion.

Structural model:
Cell lengths 8.8735, 8.8735, 8.5033 Å; angles 90.00, 90.00, 120.00 degrees
Space group P6_3/mmc (No. 194)
Asymmetric unit:
Cs (0.1539, 0.3078, 0.2500) (multiplicity 6)
Cd (0.3333, 0.6667, 0.5825) (multiplicity 4)
H (0.0000, 0.0000, 0.0000) (multiplicity 2)

Principal peaks in the range 2θ = 15–90°, by angle:
| (hkl) | 2theta | intensity |
| --- | --- | --- |
| 2 0 0 | 23.15 | 32 |
| 1 0 2 | 23.92 | 16 |
| 2 0 1 | 25.44 | 100 |
| 1 1 2 | 29.09 | 23 |
| 1 0 3 | 33.70 | 22 |
| 2 2 0 | 40.67 | 27 |
| 2 1 3 | 44.67 | 29 |
| 4 0 1 | 48.58 | 15 |



This entry pairs a crystal structure of ThSeCl with its computed powder diffraction line list. Radiation: a wavelength of 1.5418 Å. Structure: a DFT-relaxed cell (PBE, Alexandria).
Neutral-atom scattering factors, no anomalous dispersion.

Structural model:
Cell lengths 4.123, 5.802, 8.952 Å; angles 90.00, 99.79, 90.00 degrees
Space group P2_1/m (No. 11)
Asymmetric unit:
Th (0.207, 0.250, 0.384) (multiplicity 2)
Se (0.202, 0.750, 0.370) (multiplicity 2)
Cl (0.373, 0.750, 0.833) (multiplicity 2)

Principal peaks in the range 2θ = 15–90°, by angle:
| (hkl) | 2theta | intensity |
| --- | --- | --- |
| 0 1 1 | 18.30 | 63 |
| 1 0 1 | 25.65 | 59 |
| 1 0 -2 | 27.22 | 95 |
| 0 2 0 | 30.82 | 69 |
| 1 0 2 | 32.44 | 100 |
| 1 0 -3 | 34.48 | 41 |
| 1 2 -2 | 41.57 | 46 |
| 1 2 2 | 45.33 | 45 |



This entry pairs a crystal structure of La2Ho4Er with its computed powder diffraction line list. Radiation: a wavelength of 1.5418 Å. Structure: a DFT-relaxed cell (PBE, Alexandria).
Neutral-atom scattering factors, no anomalous dispersion.

Structural model:
Cell lengths 5.828, 23.504, 3.439 Å; angles 90.00, 90.00, 90.00 degrees
Space group Cmmm (No. 65)
Asymmetric unit:
La (0.000, 0.135, 0.000) (multiplicity 4)
Ho (0.000, 0.288, 0.000) (multiplicity 4)
Ho (0.000, 0.421, 0.500) (multiplicity 4)
Er (0.000, 0.000, 0.500) (multiplicity 2)

Principal peaks in the range 2θ = 15–90°, by angle:
| (hkl) | 2theta | intensity |
| --- | --- | --- |
| 0 2 1 | 27.02 | 36 |
| 2 0 0 | 30.71 | 100 |
| 1 5 1 | 35.84 | 56 |
| 2 2 1 | 41.33 | 23 |
| 3 7 0 | 54.60 | 18 |
| 3 5 1 | 57.94 | 14 |
| 2 0 2 | 62.76 | 26 |
| 2 12 1 | 63.28 | 14 |



This entry pairs a crystal structure of PmPu2Ru3 with its computed powder diffraction line list. Radiation: a wavelength of 1.5418 Å. Structure: a DFT-relaxed cell (PBE, Alexandria).
Neutral-atom scattering factors, no anomalous dispersion.

Structural model:
Cell lengths 3.390, 3.390, 10.433 Å; angles 90.00, 90.00, 90.00 degrees
Space group P4/mmm (No. 123)
Asymmetric unit:
Pm (0.000, 0.000, 0.000) (multiplicity 1)
Pu (0.000, 0.000, 0.338) (multiplicity 2)
Ru (0.500, 0.500, 0.190) (multiplicity 2)
Ru (0.500, 0.500, 0.500) (multiplicity 1)

Principal peaks in the range 2θ = 15–90°, by angle:
| (hkl) | 2theta | intensity |
| --- | --- | --- |
| 1 0 0 | 26.29 | 13 |
| 1 0 3 | 37.03 | 100 |
| 1 1 0 | 37.52 | 51 |
| 0 0 6 | 52.64 | 8 |
| 2 0 0 | 54.10 | 18 |
| 1 1 6 | 66.42 | 16 |
| 2 1 3 | 67.38 | 35 |
| 2 0 6 | 78.86 | 10 |



This entry pairs a crystal structure of LaCe2Tl3 with its computed powder diffraction line list. Radiation: a wavelength of 1.5418 Å. Structure: a DFT-relaxed cell (PBE, Alexandria).
Neutral-atom scattering factors, no anomalous dispersion.

Structural model:
Cell lengths 3.537, 3.537, 14.056 Å; angles 90.00, 90.00, 90.00 degrees
Space group P4/mmm (No. 123)
Asymmetric unit:
La (0.000, 0.000, 0.000) (multiplicity 1)
Ce (0.000, 0.000, 0.336) (multiplicity 2)
Tl (0.500, 0.500, 0.171) (multiplicity 2)
Tl (0.500, 0.500, 0.500) (multiplicity 1)

Principal peaks in the range 2θ = 15–90°, by angle:
| (hkl) | 2theta | intensity |
| --- | --- | --- |
| 1 0 3 | 31.70 | 100 |
| 1 1 0 | 35.91 | 36 |
| 0 0 6 | 38.43 | 15 |
| 2 0 0 | 51.69 | 13 |
| 1 1 6 | 53.60 | 23 |
| 2 1 3 | 61.92 | 30 |
| 1 0 9 | 65.31 | 12 |
| 2 0 6 | 66.22 | 12 |



This entry pairs a crystal structure of TcNiRh with its computed powder diffraction line list. Radiation: a wavelength of 1.5418 Å. Structure: a DFT-relaxed cell (PBE, Alexandria).
Neutral-atom scattering factors, no anomalous dispersion.

Structural model:
Cell lengths 4.2000, 4.2000, 2.6148 Å; angles 90.00, 90.00, 120.00 degrees
Space group P-6m2 (No. 187)
Asymmetric unit:
Tc (0.0000, 0.0000, 0.0000) (multiplicity 1)
Ni (0.6667, 0.3333, 0.5000) (multiplicity 1)
Rh (0.3333, 0.6667, 0.5000) (multiplicity 1)

Principal peaks in the range 2θ = 15–90°, by angle:
| (hkl) | 2theta | intensity |
| --- | --- | --- |
| 1 0 0 | 24.47 | 9 |
| 1 0 1 | 42.58 | 100 |
| 1 1 0 | 43.07 | 99 |
| 2 0 1 | 62.17 | 32 |
| 0 0 2 | 72.27 | 7 |
| 2 1 1 | 78.62 | 31 |
| 3 0 0 | 78.97 | 16 |
| 1 1 2 | 87.99 | 24 |



This entry pairs a crystal structure of NaNp2O8 with its computed powder diffraction line list. Radiation: a wavelength of 1.5418 Å. Structure: a DFT-relaxed cell (PBE, Alexandria).
Neutral-atom scattering factors, no anomalous dispersion.

Structural model:
Cell lengths 10.670, 7.462, 4.533 Å; angles 90.00, 90.41, 90.00 degrees
Space group C2/m (No. 12)
Asymmetric unit:
Na (0.000, 0.000, 0.000) (multiplicity 2)
Np (0.129, 0.500, 0.250) (multiplicity 4)
O (0.068, 0.500, 0.750) (multiplicity 4)
O (0.122, 0.255, 0.244) (multiplicity 8)
O (0.195, 0.000, 0.746) (multiplicity 4)

Principal peaks in the range 2θ = 15–90°, by angle:
| (hkl) | 2theta | intensity |
| --- | --- | --- |
| 0 2 0 | 23.85 | 50 |
| 1 1 1 | 24.45 | 100 |
| 2 0 -1 | 25.70 | 45 |
| 2 0 1 | 25.88 | 36 |
| 3 1 0 | 27.79 | 32 |
| 4 0 0 | 33.60 | 22 |
| 2 2 -1 | 35.34 | 22 |
| 1 3 1 | 42.31 | 23 |